No. 1
# Li2MnO2F
Simulated powder XRD pattern, a wavelength of 1.5418 Å. Input: a PBE+U-relaxed structure.
No peak broadening, texture or thermal motion is included.

Principal peaks in the range 2θ = 10–90°, by angle:
11.68 deg, d = 7.578 Å, I = 674
23.47 deg, d = 3.791 Å, I = 1000
25.60 deg, d = 3.480 Å, I = 881
32.88 deg, d = 2.724 Å, I = 428
35.54 deg, d = 2.526 Å, I = 825
46.37 deg, d = 1.958 Å, I = 824
48.01 deg, d = 1.895 Å, I = 297
53.73 deg, d = 1.706 Å, I = 413
59.75 deg, d = 1.548 Å, I = 590
78.83 deg, d = 1.214 Å, I = 229

Cell and atoms:
Cell lengths 7.826, 7.826, 3.918 Å; angles 90.00, 90.00, 151.03 degrees
Fractional coordinates of all 12 atoms:
Li 0.080 0.920 0.750
Li 0.230 0.770 0.250
Li 0.770 0.230 0.750
Li 0.920 0.080 0.250
Mn 0.419 0.581 0.750
Mn 0.581 0.419 0.250
O 0.097 0.903 0.250
O 0.433 0.567 0.250
O 0.567 0.433 0.750
O 0.903 0.097 0.750
F 0.264 0.736 0.750
F 0.736 0.264 0.250

No. 2
# Li5MnO3F
Simulated powder XRD pattern, a wavelength of 1.5418 Å. Input: a PBE+U-relaxed structure.
No peak broadening, texture or thermal motion is included.

Principal peaks in the range 2θ = 10–90°, by angle:
13.32 deg, d = 6.647 Å, I = 668
23.28 deg, d = 3.822 Å, I = 122
25.82 deg, d = 3.451 Å, I = 1000
29.55 deg, d = 3.023 Å, I = 113
29.89 deg, d = 2.990 Å, I = 109
41.55 deg, d = 2.173 Å, I = 492
43.31 deg, d = 2.089 Å, I = 94
49.28 deg, d = 1.849 Å, I = 152
55.06 deg, d = 1.668 Å, I = 168
55.28 deg, d = 1.662 Å, I = 169

Cell and atoms:
Cell lengths 4.755, 9.600, 9.441 Å; angles 90.00, 102.63, 90.00 degrees
Fractional coordinates of all 40 atoms:
Li 0.003 0.036 0.379
Li 0.003 0.464 0.379
Li 0.005 0.037 0.881
Li 0.005 0.463 0.881
Li 0.026 0.750 0.392
Li 0.481 0.038 0.117
Li 0.481 0.462 0.117
Li 0.489 0.531 0.377
Li 0.489 0.969 0.377
Li 0.490 0.750 0.105
Li 0.510 0.250 0.895
Li 0.511 0.031 0.623
Li 0.511 0.469 0.623
Li 0.519 0.538 0.883
Li 0.519 0.962 0.883
Li 0.974 0.250 0.608
Li 0.995 0.537 0.119
Li 0.995 0.963 0.119
Li 0.997 0.536 0.621
Li 0.997 0.964 0.621
Mn 0.016 0.750 0.875
Mn 0.466 0.750 0.638
Mn 0.534 0.250 0.362
Mn 0.984 0.250 0.125
O 0.229 0.104 0.241
O 0.229 0.396 0.241
O 0.246 0.606 0.994
O 0.246 0.894 0.994
O 0.248 0.598 0.499
O 0.248 0.902 0.499
O 0.752 0.098 0.501
O 0.752 0.402 0.501
O 0.754 0.106 0.006
O 0.754 0.394 0.006
O 0.771 0.604 0.759
O 0.771 0.896 0.759
F 0.263 0.105 0.752
F 0.263 0.395 0.752
F 0.737 0.605 0.248
F 0.737 0.895 0.248

No. 3
# Li2MnO2F
Simulated powder XRD pattern, a wavelength of 1.5418 Å. Input: a PBE+U-relaxed structure.
No peak broadening, texture or thermal motion is included.

Principal peaks in the range 2θ = 10–90°, by angle:
18.13 deg, d = 4.894 Å, I = 944
19.40 deg, d = 4.576 Å, I = 308
20.56 deg, d = 4.320 Å, I = 261
24.02 deg, d = 3.705 Å, I = 198
26.67 deg, d = 3.342 Å, I = 291
34.64 deg, d = 2.590 Å, I = 315
41.73 deg, d = 2.164 Å, I = 1000
44.72 deg, d = 2.026 Å, I = 363
60.23 deg, d = 1.536 Å, I = 150
62.81 deg, d = 1.479 Å, I = 423

Cell and atoms:
Cell lengths 5.236, 5.236, 5.082 Å; angles 97.54, 97.54, 121.84 degrees
Fractional coordinates of all 12 atoms:
Li 0.000 0.000 0.000
Li 0.180 0.820 0.500
Li 0.500 0.500 0.500
Li 0.820 0.180 0.500
Mn 0.319 0.681 0.000
Mn 0.681 0.319 0.000
O 0.091 0.436 0.234
O 0.436 0.091 0.234
O 0.564 0.909 0.766
O 0.909 0.564 0.766
F 0.255 0.255 0.751
F 0.745 0.745 0.249

No. 4
# Li2MnO2F
Simulated powder XRD pattern, a wavelength of 1.5418 Å. Input: a PBE+U-relaxed structure.
No peak broadening, texture or thermal motion is included.

Principal peaks in the range 2θ = 10–90°, by angle:
17.92 deg, d = 4.951 Å, I = 751
24.06 deg, d = 3.698 Å, I = 346
24.90 deg, d = 3.576 Å, I = 329
28.43 deg, d = 3.139 Å, I = 469
31.74 deg, d = 2.819 Å, I = 176
33.39 deg, d = 2.684 Å, I = 473
42.95 deg, d = 2.106 Å, I = 1000
44.63 deg, d = 2.030 Å, I = 479
62.55 deg, d = 1.485 Å, I = 139
63.67 deg, d = 1.462 Å, I = 504

Cell and atoms:
Cell lengths 5.941, 4.060, 8.957 Å; angles 90.00, 90.00, 90.00 degrees
Fractional coordinates of all 24 atoms:
Li 0.112 0.250 0.088
Li 0.139 0.250 0.754
Li 0.361 0.750 0.254
Li 0.388 0.750 0.588
Li 0.612 0.250 0.412
Li 0.639 0.250 0.746
Li 0.861 0.750 0.246
Li 0.888 0.750 0.912
Mn 0.112 0.250 0.403
Mn 0.388 0.750 0.903
Mn 0.612 0.250 0.097
Mn 0.888 0.750 0.597
O 0.105 0.750 0.428
O 0.154 0.750 0.759
O 0.346 0.250 0.259
O 0.395 0.250 0.928
O 0.605 0.750 0.072
O 0.654 0.750 0.741
O 0.846 0.250 0.241
O 0.895 0.250 0.572
F 0.116 0.750 0.081
F 0.384 0.250 0.581
F 0.616 0.750 0.419
F 0.884 0.250 0.919

No. 5
# Li2MnO2F
Simulated powder XRD pattern, a wavelength of 1.5418 Å. Input: a PBE+U-relaxed structure.
No peak broadening, texture or thermal motion is included.

Principal peaks in the range 2θ = 10–90°, by angle:
18.19 deg, d = 4.877 Å, I = 1000
20.30 deg, d = 4.374 Å, I = 175
20.78 deg, d = 4.275 Å, I = 412
22.49 deg, d = 3.954 Å, I = 301
33.91 deg, d = 2.644 Å, I = 217
35.84 deg, d = 2.506 Å, I = 227
40.71 deg, d = 2.216 Å, I = 517
43.80 deg, d = 2.067 Å, I = 817
61.21 deg, d = 1.514 Å, I = 222
61.45 deg, d = 1.509 Å, I = 252

Cell and atoms:
Cell lengths 5.121, 5.121, 9.824 Å; angles 93.55, 93.55, 117.33 degrees
Fractional coordinates of all 24 atoms:
Li 0.000 0.500 0.500
Li 0.090 0.910 0.750
Li 0.226 0.774 0.250
Li 0.407 0.593 0.750
Li 0.500 0.000 0.000
Li 0.593 0.407 0.250
Li 0.774 0.226 0.750
Li 0.910 0.090 0.250
Mn 0.135 0.314 0.000
Mn 0.314 0.135 0.500
Mn 0.686 0.865 0.500
Mn 0.865 0.686 0.000
O 0.063 0.197 0.617
O 0.107 0.589 0.881
O 0.197 0.063 0.117
O 0.411 0.893 0.619
O 0.589 0.107 0.381
O 0.803 0.937 0.883
O 0.893 0.411 0.119
O 0.937 0.803 0.383
F 0.286 0.450 0.377
F 0.450 0.286 0.877
F 0.550 0.714 0.123
F 0.714 0.550 0.623

No. 6
# Li2MnO2F
Simulated powder XRD pattern, a wavelength of 1.5418 Å. Input: a PBE+U-relaxed structure.
No peak broadening, texture or thermal motion is included.

Principal peaks in the range 2θ = 10–90°, by angle:
18.23 deg, d = 4.868 Å, I = 1000
19.86 deg, d = 4.470 Å, I = 371
22.01 deg, d = 4.039 Å, I = 166
25.37 deg, d = 3.510 Å, I = 179
34.68 deg, d = 2.587 Å, I = 155
35.52 deg, d = 2.528 Å, I = 293
41.77 deg, d = 2.163 Å, I = 522
43.38 deg, d = 2.086 Å, I = 854
61.80 deg, d = 1.501 Å, I = 465
63.26 deg, d = 1.470 Å, I = 123

Cell and atoms:
Cell lengths 5.151, 5.151, 9.832 Å; angles 94.07, 94.07, 119.05 degrees
Fractional coordinates of all 24 atoms:
Li 0.000 0.500 0.500
Li 0.068 0.932 0.750
Li 0.196 0.323 0.006
Li 0.323 0.196 0.506
Li 0.500 0.000 0.000
Li 0.677 0.804 0.494
Li 0.804 0.677 0.994
Li 0.932 0.068 0.250
Mn 0.256 0.744 0.250
Mn 0.420 0.580 0.750
Mn 0.580 0.420 0.250
Mn 0.744 0.256 0.750
O 0.059 0.255 0.646
O 0.255 0.059 0.146
O 0.298 0.474 0.368
O 0.474 0.298 0.868
O 0.526 0.702 0.132
O 0.702 0.526 0.632
O 0.745 0.941 0.854
O 0.941 0.745 0.354
F 0.129 0.644 0.883
F 0.356 0.871 0.617
F 0.644 0.129 0.383
F 0.871 0.356 0.117

No. 7
# LiMn2OF3
Simulated powder XRD pattern, a wavelength of 1.5418 Å. Input: a PBE+U-relaxed structure.
No peak broadening, texture or thermal motion is included.

Principal peaks in the range 2θ = 10–90°, by angle:
12.04 deg, d = 7.353 Å, I = 666
17.41 deg, d = 5.092 Å, I = 944
22.96 deg, d = 3.873 Å, I = 255
30.75 deg, d = 2.908 Å, I = 257
31.35 deg, d = 2.853 Å, I = 298
32.90 deg, d = 2.722 Å, I = 411
40.29 deg, d = 2.239 Å, I = 431
40.41 deg, d = 2.232 Å, I = 1000
57.19 deg, d = 1.611 Å, I = 161
58.38 deg, d = 1.581 Å, I = 530

Cell and atoms:
Cell lengths 8.434, 8.434, 8.434 Å; angles 136.94, 80.38, 115.88 degrees
Fractional coordinates of all 28 atoms:
Li 0.082 0.720 0.362
Li 0.129 0.000 0.129
Li 0.358 0.720 0.638
Li 0.871 0.000 0.871
Mn 0.130 0.380 0.751
Mn 0.332 0.332 0.000
Mn 0.498 0.374 0.640
Mn 0.498 0.858 0.124
Mn 0.629 0.380 0.249
Mn 0.734 0.374 0.876
Mn 0.734 0.858 0.360
Mn 0.895 0.395 0.500
O 0.375 0.604 0.770
O 0.572 0.572 0.000
O 0.653 0.153 0.500
O 0.834 0.604 0.230
F 0.102 0.102 0.000
F 0.122 0.622 0.500
F 0.228 0.110 0.629
F 0.228 0.599 0.118
F 0.392 0.133 0.259
F 0.480 0.110 0.882
F 0.480 0.599 0.371
F 0.746 0.129 0.132
F 0.746 0.614 0.617
F 0.874 0.133 0.741
F 0.997 0.129 0.383
F 0.997 0.614 0.868

No. 8
# Li4MnOF5
Simulated powder XRD pattern, a wavelength of 1.5418 Å. Input: a PBE+U-relaxed structure.
No peak broadening, texture or thermal motion is included.

Principal peaks in the range 2θ = 10–90°, by angle:
14.91 deg, d = 5.940 Å, I = 1000
19.13 deg, d = 4.638 Å, I = 798
25.54 deg, d = 3.488 Å, I = 315
27.71 deg, d = 3.219 Å, I = 898
31.58 deg, d = 2.833 Å, I = 301
38.88 deg, d = 2.317 Å, I = 595
41.98 deg, d = 2.152 Å, I = 641
48.38 deg, d = 1.882 Å, I = 416
58.73 deg, d = 1.572 Å, I = 244
65.95 deg, d = 1.416 Å, I = 262

Cell and atoms:
Cell lengths 5.379, 5.379, 6.444 Å; angles 111.29, 111.29, 40.95 degrees
Fractional coordinates of all 11 atoms:
Li 0.000 0.000 0.000
Li 0.013 0.013 0.422
Li 0.300 0.300 0.180
Li 0.314 0.314 0.602
Mn 0.657 0.657 0.800
O 0.156 0.156 0.800
F 0.157 0.157 0.301
F 0.468 0.468 0.475
F 0.508 0.508 0.923
F 0.806 0.806 0.677
F 0.846 0.846 0.126